1.
The following is a calculated XRD peak list of Pm5Y12Er. It was derived from a DFT-relaxed cell (GGA-PBE, Alexandria), using λ = 1.5418 Å (Cu Kα).
Lines closer than 0.1° are merged.

Structural model:
```
data_Pm5Y12Er
_chemical_formula_sum 'Pm5 Y12 Er1'
_symmetry_space_group_name_H-M 'P 1 2/m 1'
_symmetry_Int_Tables_number 10
_cell_length_a 10.763
_cell_length_b 5.078
_cell_length_c 10.773
_cell_angle_alpha 90.00
_cell_angle_beta 90.09
_cell_angle_gamma 90.00
loop_
_symmetry_equiv_pos_as_xyz
'x,y,z'
'-x,-y,-z'
'-x,y,-z'
'x,-y,z'
loop_
_atom_site_label
_atom_site_type_symbol
_atom_site_fract_x
_atom_site_fract_y
_atom_site_fract_z
Pm1 Pm 0.000 0.000 0.000
Pm2 Pm 0.167 0.500 0.833
Pm3 Pm 0.334 0.000 0.666
Y1 Y 0.000 0.000 0.334
Y2 Y 0.167 0.500 0.167
Y3 Y 0.168 0.500 0.500
Y4 Y 0.334 0.000 0.000
Y5 Y 0.334 0.000 0.334
Y6 Y 0.499 0.500 0.168
Er1 Er 0.500 0.500 0.500
```

Most intense lines, 10 to 90 degrees two-theta, low angle first:
| index | 2theta | I_rel |
| --- | --- | --- |
| 1 0 1 | 11.63 | 7 |
| 2 1 -1 | 25.48 | 5 |
| 3 1 0 | 30.50 | 100 |
| 3 0 3 | 35.36 | 50 |
| 6 0 0 | 50.87 | 35 |
| 3 3 0 | 60.47 | 35 |
| 6 1 3 | 60.55 | 7 |
| 6 2 0 | 63.48 | 12 |
| 0 4 0 | 74.77 | 4 |
| 6 3 3 | 82.88 | 14 |
| 3 4 3 | 85.52 | 12 |
| 9 0 3 | 85.63 | 4 |

2.
The following is a calculated XRD peak list of Ce2Co3As4Pt. It was derived from a DFT-relaxed cell (GGA-PBE, Alexandria), using λ = 1.5418 Å (Cu Kα).
Lines closer than 0.1° are merged.

Structural model:
```
data_Ce2Co3As4Pt
_chemical_formula_sum 'Ce2 Co3 As4 Pt1'
_symmetry_space_group_name_H-M 'P -4 m 2'
_symmetry_Int_Tables_number 115
_cell_length_a 4.199
_cell_length_b 4.199
_cell_length_c 9.552
_cell_angle_alpha 90.00
_cell_angle_beta 90.00
_cell_angle_gamma 90.00
loop_
_symmetry_equiv_pos_as_xyz
'x,y,z'
'y,-x,-z'
'-x,-y,z'
'-y,x,-z'
'-x,y,z'
'-y,-x,-z'
'x,-y,z'
'y,x,-z'
loop_
_atom_site_label
_atom_site_type_symbol
_atom_site_fract_x
_atom_site_fract_y
_atom_site_fract_z
Ce1 Ce 0.000 0.500 0.243
Co1 Co 0.000 0.500 0.889
Co2 Co 0.500 0.500 0.500
As1 As 0.000 0.000 0.000
As2 As 0.000 0.500 0.647
As3 As 0.500 0.500 0.000
Pt1 Pt 0.000 0.000 0.500
```

Most intense lines, 10 to 90 degrees two-theta, low angle first:
| index | 2theta | I_rel |
| --- | --- | --- |
| 1 0 1 | 23.14 | 13 |
| 1 0 3 | 35.38 | 43 |
| 1 1 2 | 35.60 | 100 |
| 2 0 0 | 43.08 | 55 |
| 1 1 4 | 48.95 | 12 |
| 1 0 5 | 52.63 | 15 |
| 2 1 3 | 56.93 | 21 |
| 2 0 4 | 58.54 | 9 |
| 2 2 0 | 62.57 | 18 |
| 1 1 6 | 66.66 | 12 |
| 2 1 5 | 70.29 | 13 |
| 3 1 2 | 74.11 | 23 |

3.
The following is a calculated XRD peak list of RbTl4In2Hg. It was derived from a DFT-relaxed cell (GGA-PBE, Alexandria), using λ = 1.5418 Å (Cu Kα).
Lines closer than 0.1° are merged.

Structural model:
```
data_RbTl4In2Hg
_chemical_formula_sum 'Rb3 Tl12 In6 Hg3'
_symmetry_space_group_name_H-M 'R -3 m'
_symmetry_Int_Tables_number 166
_symmetry_space_group_name_Hall '-R 3 2"'
_cell_length_a 5.4742
_cell_length_b 5.4742
_cell_length_c 31.3486
_cell_angle_alpha 90.00
_cell_angle_beta 90.00
_cell_angle_gamma 120.00
loop_
_atom_site_label
_atom_site_type_symbol
_atom_site_fract_x
_atom_site_fract_y
_atom_site_fract_z
Rb1 Rb 0.0000 0.0000 0.0000
Tl1 Tl 0.0000 0.0000 0.1326
Tl2 Tl 0.0000 0.0000 0.4022
In1 In 0.0000 0.0000 0.2391
Hg1 Hg 0.0000 0.0000 0.5000
```

Most intense lines, 10 to 90 degrees two-theta, low angle first:
| index | 2theta | I_rel |
| --- | --- | --- |
| 0 1 8 | 29.58 | 66 |
| 1 1 0 | 32.72 | 100 |
| 1 1 3 | 33.85 | 15 |
| 0 1 11 | 36.80 | 43 |
| 2 0 8 | 44.68 | 22 |
| 2 0 11 | 50.05 | 18 |
| 1 2 8 | 56.47 | 22 |
| 3 0 0 | 58.40 | 19 |
| 1 0 19 | 59.30 | 10 |
| 1 2 11 | 61.09 | 20 |
| 2 2 0 | 68.57 | 12 |
| 2 1 19 | 78.87 | 10 |

4.
The following is a calculated XRD peak list of Mg2Bi2Rh. It was derived from a DFT-relaxed cell (GGA-PBE, Alexandria), using λ = 1.5418 Å (Cu Kα).
Lines closer than 0.1° are merged.

Structural model:
```
data_Mg2Bi2Rh
_chemical_formula_sum 'Mg8 Bi8 Rh4'
_symmetry_space_group_name_H-M 'I 41/a m d'
_symmetry_Int_Tables_number 141
_cell_length_a 4.539
_cell_length_b 4.539
_cell_length_c 24.347
_cell_angle_alpha 90.00
_cell_angle_beta 90.00
_cell_angle_gamma 90.00
loop_
_symmetry_equiv_pos_as_xyz
'x,y,z'
'-x,-y,-z'
'-y+1/4,x+3/4,z+1/4'
'y+1/4,-x+3/4,-z+1/4'
'-x+1/2,-y,z+1/2'
'x+1/2,y,-z+1/2'
'y+1/4,-x+1/4,z+3/4'
'-y+1/4,x+1/4,-z+3/4'
'x,-y,-z'
'-x,y,z'
'-y+1/4,-x+1/4,-z+3/4'
'y+1/4,x+1/4,z+3/4'
'-x+1/2,y,-z+1/2'
'x+1/2,-y,z+1/2'
'y+1/4,x+3/4,-z+1/4'
'-y+1/4,-x+3/4,z+1/4'
'x+1/2,y+1/2,z+1/2'
'-x+1/2,-y+1/2,-z+1/2'
'-y+3/4,x+1/4,z+3/4'
'y+3/4,-x+1/4,-z+3/4'
'-x,-y+1/2,z'
'x,y+1/2,-z'
'y+3/4,-x+3/4,z+1/4'
'-y+3/4,x+3/4,-z+1/4'
'x+1/2,-y+1/2,-z+1/2'
'-x+1/2,y+1/2,z+1/2'
'-y+3/4,-x+3/4,-z+1/4'
'y+3/4,x+3/4,z+1/4'
'-x,y+1/2,-z'
'x,-y+1/2,z'
'y+3/4,x+1/4,-z+3/4'
'-y+3/4,-x+1/4,z+3/4'
loop_
_atom_site_label
_atom_site_type_symbol
_atom_site_fract_x
_atom_site_fract_y
_atom_site_fract_z
Mg1 Mg 0.000 0.250 0.066
Bi1 Bi 0.000 0.250 0.195
Rh1 Rh 0.000 0.250 0.875
```

Most intense lines, 10 to 90 degrees two-theta, low angle first:
| index | 2theta | I_rel |
| --- | --- | --- |
| 1 0 3 | 22.44 | 100 |
| 1 1 2 | 28.77 | 20 |
| 0 0 8 | 29.35 | 13 |
| 1 1 6 | 35.67 | 74 |
| 1 0 9 | 38.75 | 19 |
| 2 0 0 | 39.72 | 36 |
| 2 1 3 | 46.10 | 31 |
| 1 1 10 | 46.84 | 11 |
| 2 0 8 | 50.14 | 13 |
| 2 1 9 | 56.70 | 12 |
| 2 2 0 | 57.43 | 12 |
| 3 1 6 | 69.47 | 22 |

5.
The following is a calculated XRD peak list of Rb2Tm2ZrSe6. It was derived from a DFT-relaxed cell (GGA-PBE, Alexandria), using λ = 1.5418 Å (Cu Kα).
Lines closer than 0.1° are merged.

Structural model:
```
data_Rb2Tm2ZrSe6
_chemical_formula_sum 'Rb4 Tm4 Zr2 Se12'
_symmetry_space_group_name_H-M 'C 1 2/m 1'
_symmetry_Int_Tables_number 12
_cell_length_a 7.028
_cell_length_b 12.118
_cell_length_c 8.543
_cell_angle_alpha 90.00
_cell_angle_beta 106.26
_cell_angle_gamma 90.00
loop_
_symmetry_equiv_pos_as_xyz
'x,y,z'
'-x,-y,-z'
'-x,y,-z'
'x,-y,z'
'x+1/2,y+1/2,z'
'-x+1/2,-y+1/2,-z'
'-x+1/2,y+1/2,-z'
'x+1/2,-y+1/2,z'
loop_
_atom_site_label
_atom_site_type_symbol
_atom_site_fract_x
_atom_site_fract_y
_atom_site_fract_z
Rb1 Rb 0.000 0.169 0.000
Tm1 Tm 0.000 0.333 0.500
Zr1 Zr 0.000 0.000 0.500
Se1 Se 0.226 0.160 0.690
Se2 Se 0.242 0.500 0.689
```

Most intense lines, 10 to 90 degrees two-theta, low angle first:
| index | 2theta | I_rel |
| --- | --- | --- |
| 0 0 1 | 10.79 | 90 |
| 2 0 -2 | 29.19 | 49 |
| 1 3 1 | 29.39 | 100 |
| 2 0 -3 | 36.03 | 11 |
| 1 3 2 | 36.27 | 21 |
| 1 3 -3 | 38.91 | 32 |
| 2 0 2 | 39.04 | 16 |
| 3 3 -1 | 44.72 | 34 |
| 0 6 0 | 44.87 | 20 |
| 1 3 -4 | 48.21 | 12 |
| 4 0 0 | 54.42 | 25 |
| 2 0 4 | 58.88 | 11 |

6.
The following is a calculated XRD peak list of Sb6OsPd. It was derived from a DFT-relaxed cell (GGA-PBE, Alexandria), using λ = 1.5418 Å (Cu Kα).
Lines closer than 0.1° are merged.

Structural model:
```
data_Sb6OsPd
_chemical_formula_sum 'Sb24 Os4 Pd4'
_symmetry_space_group_name_H-M 'C 1 2/m 1'
_symmetry_Int_Tables_number 12
_cell_length_a 13.358
_cell_length_b 9.437
_cell_length_c 9.441
_cell_angle_alpha 90.00
_cell_angle_beta 134.96
_cell_angle_gamma 90.00
loop_
_symmetry_equiv_pos_as_xyz
'x,y,z'
'-x,-y,-z'
'-x,y,-z'
'x,-y,z'
'x+1/2,y+1/2,z'
'-x+1/2,-y+1/2,-z'
'-x+1/2,y+1/2,-z'
'x+1/2,-y+1/2,z'
loop_
_atom_site_label
_atom_site_type_symbol
_atom_site_fract_x
_atom_site_fract_y
_atom_site_fract_z
Sb1 Sb 0.004 0.155 0.345
Sb2 Sb 0.151 0.500 0.804
Sb3 Sb 0.154 0.341 0.158
Sb4 Sb 0.169 0.500 0.514
Os1 Os 0.250 0.250 0.500
Pd1 Pd 0.250 0.250 0.000
```

Most intense lines, 10 to 90 degrees two-theta, low angle first:
| index | 2theta | I_rel |
| --- | --- | --- |
| 0 0 1 | 13.26 | 16 |
| 0 2 0 | 18.79 | 29 |
| 2 2 -1 | 23.07 | 11 |
| 2 0 -3 | 29.92 | 100 |
| 4 2 -1 | 35.57 | 33 |
| 2 0 2 | 42.82 | 58 |
| 6 2 -3 | 45.03 | 11 |
| 6 2 -2 | 47.15 | 39 |
| 2 4 1 | 49.20 | 30 |
| 2 0 3 | 56.85 | 17 |
| 8 2 -2 | 65.57 | 13 |
| 5 3 1 | 67.23 | 13 |

7.
The following is a calculated XRD peak list of CaCSe2N. It was derived from a DFT-relaxed cell (GGA-PBE, Alexandria), using λ = 1.5418 Å (Cu Kα).
Lines closer than 0.1° are merged.

Structural model:
```
data_CaCSe2N
_chemical_formula_sum 'Ca1 C1 Se2 N1'
_symmetry_space_group_name_H-M 'P 4/m m m'
_symmetry_Int_Tables_number 123
_symmetry_space_group_name_Hall '-P 4 2'
_cell_length_a 5.753
_cell_length_b 5.753
_cell_length_c 2.591
_cell_angle_alpha 90.00
_cell_angle_beta 90.00
_cell_angle_gamma 90.00
loop_
_atom_site_label
_atom_site_type_symbol
_atom_site_fract_x
_atom_site_fract_y
_atom_site_fract_z
Ca1 Ca 0.000 0.000 0.000
C1 C 0.500 0.500 0.500
Se1 Se 0.000 0.500 0.500
N1 N 0.500 0.500 0.000
```

Most intense lines, 10 to 90 degrees two-theta, low angle first:
| index | 2theta | I_rel |
| --- | --- | --- |
| 1 1 0 | 21.85 | 37 |
| 2 0 0 | 31.09 | 100 |
| 0 0 1 | 34.62 | 9 |
| 1 1 1 | 41.31 | 73 |
| 2 2 0 | 44.55 | 35 |
| 2 0 1 | 47.21 | 16 |
| 3 1 0 | 50.14 | 10 |
| 3 1 1 | 62.36 | 41 |
| 4 0 0 | 64.82 | 11 |
| 4 2 0 | 73.64 | 14 |
| 3 3 1 | 79.83 | 10 |
| 2 0 2 | 81.47 | 11 |

8.
The following is a calculated XRD peak list of Pm4DyHo2. It was derived from a DFT-relaxed cell (GGA-PBE, Alexandria), using λ = 1.5418 Å (Cu Kα).
Lines closer than 0.1° are merged.

Structural model:
```
data_Pm4DyHo2
_chemical_formula_sum 'Pm32 Dy8 Ho16'
_symmetry_space_group_name_H-M 'F d d 2'
_symmetry_Int_Tables_number 43
_symmetry_space_group_name_Hall 'F 2 -2d'
_cell_length_a 11.948
_cell_length_b 24.181
_cell_length_c 6.450
_cell_angle_alpha 90.00
_cell_angle_beta 90.00
_cell_angle_gamma 90.00
loop_
_atom_site_label
_atom_site_type_symbol
_atom_site_fract_x
_atom_site_fract_y
_atom_site_fract_z
Pm1 Pm 0.052 0.070 0.000
Pm2 Pm 0.069 0.144 0.531
Dy1 Dy 0.000 0.000 0.494
Ho1 Ho 0.025 0.216 0.056
```

Most intense lines, 10 to 90 degrees two-theta, low angle first:
| index | 2theta | I_rel |
| --- | --- | --- |
| 0 2 2 | 28.61 | 15 |
| 4 0 0 | 29.91 | 10 |
| 1 7 1 | 30.29 | 100 |
| 4 2 0 | 30.84 | 32 |
| 2 0 2 | 31.53 | 63 |
| 3 5 1 | 32.26 | 34 |
| 2 2 2 | 32.41 | 25 |
| 3 7 1 | 37.17 | 27 |
| 1 7 3 | 50.59 | 20 |
| 2 14 0 | 55.37 | 20 |
| 5 3 3 | 58.88 | 11 |
| 0 14 2 | 60.84 | 14 |

9.
The following is a calculated XRD peak list of Tm2PaFe2. It was derived from a DFT-relaxed cell (GGA-PBE, Alexandria), using λ = 1.5418 Å (Cu Kα).
Lines closer than 0.1° are merged.

Structural model:
```
data_Tm2PaFe2
_chemical_formula_sum 'Tm8 Pa4 Fe8'
_symmetry_space_group_name_H-M 'C 1 2/c 1'
_symmetry_Int_Tables_number 15
_cell_length_a 10.101
_cell_length_b 5.975
_cell_length_c 6.853
_cell_angle_alpha 90.00
_cell_angle_beta 98.67
_cell_angle_gamma 90.00
loop_
_symmetry_equiv_pos_as_xyz
'x,y,z'
'-x,-y,-z'
'-x,y,-z+1/2'
'x,-y,z+1/2'
'x+1/2,y+1/2,z'
'-x+1/2,-y+1/2,-z'
'-x+1/2,y+1/2,-z+1/2'
'x+1/2,-y+1/2,z+1/2'
loop_
_atom_site_label
_atom_site_type_symbol
_atom_site_fract_x
_atom_site_fract_y
_atom_site_fract_z
Tm1 Tm 0.152 0.108 0.147
Pa1 Pa 0.000 0.422 0.750
Fe1 Fe 0.151 0.348 0.515
```

Most intense lines, 10 to 90 degrees two-theta, low angle first:
| index | 2theta | I_rel |
| --- | --- | --- |
| 1 1 -2 | 30.48 | 54 |
| 3 1 0 | 30.75 | 80 |
| 3 1 -1 | 31.85 | 35 |
| 0 2 1 | 32.76 | 100 |
| 2 0 2 | 34.16 | 64 |
| 3 1 1 | 35.15 | 24 |
| 3 1 -2 | 38.04 | 48 |
| 2 2 1 | 38.50 | 45 |
| 4 0 -2 | 41.58 | 26 |
| 1 1 -3 | 42.48 | 32 |
| 3 3 -1 | 54.33 | 27 |
| 1 1 -4 | 55.84 | 25 |

10.
The following is a calculated XRD peak list of Na3La2HfS6. It was derived from a DFT-relaxed cell (GGA-PBE, Alexandria), using λ = 1.5418 Å (Cu Kα).
Lines closer than 0.1° are merged.

Structural model:
```
data_Na3La2HfS6
_chemical_formula_sum 'Na6 La4 Hf2 S12'
_symmetry_space_group_name_H-M 'C 1 2/m 1'
_symmetry_Int_Tables_number 12
_cell_length_a 6.990
_cell_length_b 12.115
_cell_length_c 7.108
_cell_angle_alpha 90.00
_cell_angle_beta 109.34
_cell_angle_gamma 90.00
loop_
_symmetry_equiv_pos_as_xyz
'x,y,z'
'-x,-y,-z'
'-x,y,-z'
'x,-y,z'
'x+1/2,y+1/2,z'
'-x+1/2,-y+1/2,-z'
'-x+1/2,y+1/2,-z'
'x+1/2,-y+1/2,z'
loop_
_atom_site_label
_atom_site_type_symbol
_atom_site_fract_x
_atom_site_fract_y
_atom_site_fract_z
Na1 Na 0.000 0.000 0.000
Na2 Na 0.000 0.335 0.000
La1 La 0.000 0.167 0.500
Hf1 Hf 0.000 0.500 0.500
S1 S 0.227 0.500 0.274
S2 S 0.229 0.349 0.731
```

Most intense lines, 10 to 90 degrees two-theta, low angle first:
| index | 2theta | I_rel |
| --- | --- | --- |
| 0 0 1 | 13.20 | 80 |
| 1 3 0 | 25.87 | 42 |
| 0 0 2 | 26.58 | 10 |
| 1 3 -1 | 27.00 | 30 |
| 1 3 1 | 31.15 | 100 |
| 1 3 -2 | 33.93 | 11 |
| 1 3 2 | 40.67 | 12 |
| 1 3 -3 | 44.33 | 24 |
| 2 0 2 | 44.45 | 12 |
| 0 6 0 | 44.91 | 34 |
| 3 3 -2 | 47.01 | 20 |
| 2 6 -2 | 55.62 | 11 |

11.
The following is a calculated XRD peak list of PmErIrPt. It was derived from a DFT-relaxed cell (GGA-PBE, Alexandria), using λ = 1.5418 Å (Cu Kα).
Lines closer than 0.1° are merged.

Structural model:
```
data_PmErIrPt
_chemical_formula_sum 'Pm2 Er2 Ir2 Pt2'
_symmetry_space_group_name_H-M 'A m m 2'
_symmetry_Int_Tables_number 38
_cell_length_a 4.314
_cell_length_b 3.870
_cell_length_c 10.757
_cell_angle_alpha 90.00
_cell_angle_beta 90.00
_cell_angle_gamma 90.00
loop_
_symmetry_equiv_pos_as_xyz
'x,y,z'
'-x,-y,z'
'-x,y,z'
'x,-y,z'
'x,y+1/2,z+1/2'
'-x,-y+1/2,z+1/2'
'-x,y+1/2,z+1/2'
'x,-y+1/2,z+1/2'
loop_
_atom_site_label
_atom_site_type_symbol
_atom_site_fract_x
_atom_site_fract_y
_atom_site_fract_z
Pm1 Pm 0.000 0.000 0.000
Er1 Er 0.500 0.000 0.285
Ir1 Ir 0.000 0.000 0.734
Pt1 Pt 0.500 0.000 0.563
```

Most intense lines, 10 to 90 degrees two-theta, low angle first:
| index | 2theta | I_rel |
| --- | --- | --- |
| 1 1 1 | 32.17 | 100 |
| 0 0 4 | 33.32 | 28 |
| 0 1 3 | 34.09 | 16 |
| 1 0 4 | 39.49 | 31 |
| 1 1 3 | 40.15 | 77 |
| 2 0 0 | 41.88 | 31 |
| 0 2 0 | 46.96 | 22 |
| 2 0 4 | 54.54 | 14 |
| 1 2 4 | 62.98 | 16 |
| 2 2 0 | 64.72 | 17 |
| 0 1 7 | 65.33 | 13 |
| 2 1 7 | 80.69 | 15 |

12.
The following is a calculated XRD peak list of Ce3HoIr. It was derived from a DFT-relaxed cell (GGA-PBE, Alexandria), using λ = 1.5418 Å (Cu Kα).
Lines closer than 0.1° are merged.

Structural model:
```
data_Ce3HoIr
_chemical_formula_sum 'Ce6 Ho2 Ir2'
_symmetry_space_group_name_H-M 'P 1 21 1'
_symmetry_Int_Tables_number 4
_cell_length_a 6.669
_cell_length_b 5.391
_cell_length_c 7.315
_cell_angle_alpha 90.00
_cell_angle_beta 95.15
_cell_angle_gamma 90.00
loop_
_symmetry_equiv_pos_as_xyz
'x,y,z'
'-x,y+1/2,-z'
loop_
_atom_site_label
_atom_site_type_symbol
_atom_site_fract_x
_atom_site_fract_y
_atom_site_fract_z
Ce1 Ce 0.014 0.000 0.326
Ce2 Ce 0.150 0.499 0.036
Ce3 Ce 0.450 0.002 0.307
Ho1 Ho 0.313 0.002 0.785
Ir1 Ir 0.266 0.503 0.396
```

Most intense lines, 10 to 90 degrees two-theta, low angle first:
| index | 2theta | I_rel |
| --- | --- | --- |
| 1 0 2 | 29.00 | 26 |
| 1 1 -2 | 31.64 | 42 |
| 2 1 -1 | 33.10 | 100 |
| 0 2 0 | 33.24 | 74 |
| 1 1 2 | 33.51 | 35 |
| 2 1 1 | 34.90 | 19 |
| 1 0 -3 | 38.30 | 27 |
| 2 1 -2 | 38.79 | 19 |
| 1 1 3 | 44.19 | 15 |
| 1 2 2 | 44.68 | 16 |
| 1 2 -3 | 51.60 | 23 |
| 2 3 -1 | 59.30 | 19 |

Number 4 is which compound? Mg2Bi2Rh